Diffraction record for Nd5Bi2N. The PXRD pattern is computed, not measured: it uses a structure optimized by DFT (PBE) and Cu Kα.

Peak list (6 most intense, 2θ from 5° to 70°, low angle first)
| d_spacing | I_rel |
| --- | --- |
| 3.118 | 25 |
| 2.958 | 64 |
| 2.894 | 89 |
| 2.686 | 100 |
| 2.569 | 38 |
| 1.696 | 31 |

Cell and atoms:
```
data_Nd5Bi2N
_space_group_name_H-M_alt 'C m c m'
_space_group_IT_number 63
_space_group_name_Hall '-C 2c 2'
_cell_length_a 5.917
_cell_length_b 10.180
_cell_length_c 15.777
_cell_angle_alpha 90.00
_cell_angle_beta 90.00
_cell_angle_gamma 90.00
loop_
_atom_site_label
_atom_site_fract_x
_atom_site_fract_y
_atom_site_fract_z
_atom_site_occupancy
Nd1 0.000 0.090 0.136 1
Nd2 0.000 0.251 0.750 1
Nd3 0.000 0.409 0.136 1
Bi1 0.000 0.251 0.554 1
N1 0.000 0.249 0.250 1
```